(1)
Calculated powder X-ray diffraction pattern of Co3Ni2S8 for Cu Kα X-rays, from a DFT-relaxed cell (GGA-PBE, Alexandria).
Neutral-atom scattering factors, no anomalous dispersion.

Crystal structure
a b c (Å): 6.6245 6.6245 10.3558
angles (deg): 90.00 90.00 120.00
Space group P6_3mc (No. 186)
Unique sites:
Co 0.1657 0.3315 0.0000
Ni 0.3333 0.6667 0.2894
Ni 0.3333 0.6667 0.6875
S 0.0000 0.0000 0.1140
S 0.0277 0.5138 0.1290
S 0.1561 0.3122 0.3822
S 0.3333 0.6667 0.8942

Peak list (6 most intense, 10 to 80 degrees two-theta, in order of falling intensity)
2θ/deg  I (rel.)  h k l
55.5  1000  2 2 0
54.7  943  2 0 5
35.8  900  2 0 2
32.1  810  1 1 2
30.2  762  1 0 3
23.1  639  1 0 2

=====

(2)
Calculated powder X-ray diffraction pattern of K2BaTlSe4 for Cu Kα X-rays, from a DFT-relaxed cell (GGA-PBE, Alexandria).
Neutral-atom scattering factors, no anomalous dispersion.

Crystal structure
a b c (Å): 12.8774 13.1768 8.5019
angles (deg): 90.00 130.36 90.00
Space group C2/c (No. 15)
Unique sites:
K 0.0000 0.0000 0.0000
K 0.2500 0.2500 0.0000
Ba 0.2500 0.2500 0.5000
Tl 0.0000 0.5000 0.0000
Se 0.0012 0.2528 0.0074
Se 0.2006 0.4992 0.9826

Peak list (6 most intense, 10 to 80 degrees two-theta, in order of falling intensity)
2θ/deg  I (rel.)  h k l
11.2  1000  1 1 0
27.1  857  0 4 0
27.5  811  0 0 2
39.0  640  0 4 2
28.0  630  4 0 -2
39.3  498  4 4 -2